This entry pairs a crystal structure of RbNa4Pb with its simulated PXRD pattern. Radiation: CuKα. Structure: a crystal structure in Alexandria, relaxed with GGA-PBE.
No peak broadening, texture or thermal motion is included.

Largest 10 diffraction maxima, sorted by position, 10 to 90 degrees two-theta:
- 2θ 10.76, intensity 45
- 2θ 15.59, intensity 100
- 2θ 21.61, intensity 21
- 2θ 22.12, intensity 38
- 2θ 26.76, intensity 74
- 2θ 31.12, intensity 54
- 2θ 31.48, intensity 27
- 2θ 35.31, intensity 46
- 2θ 38.51, intensity 25
- 2θ 41.78, intensity 36

Structure:
```
data_RbNa4Pb
_cell_length_a 9.998
_cell_length_b 9.994
_cell_length_c 8.038
_cell_angle_alpha 66.32
_cell_angle_beta 66.26
_cell_angle_gamma 47.42
_space_group_name_H-M_alt 'P 1'
_space_group_IT_number 1
_space_group_name_Hall 'P 1'
loop_
_atom_site_label
_atom_site_fract_x
_atom_site_fract_y
_atom_site_fract_z
Rb1 0.000 0.000 0.500
Rb2 0.500 0.500 0.000
Na1 0.005 0.334 0.666
Na2 0.166 0.495 0.834
Na3 0.334 0.005 0.995
Na4 0.495 0.166 0.505
Na5 0.505 0.834 0.495
Na6 0.666 0.995 0.005
Na7 0.834 0.505 0.166
Na8 0.995 0.666 0.334
Pb1 0.250 0.250 0.250
Pb2 0.750 0.750 0.750
```



This entry pairs a crystal structure of InGaBr3 with its simulated PXRD pattern. Radiation: CuKα. Structure: a crystal structure in Alexandria, relaxed with GGA-PBE.
No peak broadening, texture or thermal motion is included.

Largest 10 diffraction maxima, sorted by position, 10 to 90 degrees two-theta:
- 2θ 12.97, intensity 31
- 2θ 21.79, intensity 35
- 2θ 23.09, intensity 28
- 2θ 23.26, intensity 29
- 2θ 26.10, intensity 64
- 2θ 27.06, intensity 55
- 2θ 28.53, intensity 100
- 2θ 31.14, intensity 31
- 2θ 31.53, intensity 40
- 2θ 32.63, intensity 56

Structure:
```
data_InGaBr3
_cell_length_a 7.723
_cell_length_b 8.810
_cell_length_c 12.852
_cell_angle_alpha 90.00
_cell_angle_beta 122.93
_cell_angle_gamma 90.00
_space_group_name_H-M_alt 'P 1'
_space_group_IT_number 1
_space_group_name_Hall 'P 1'
loop_
_atom_site_label
_atom_site_fract_x
_atom_site_fract_y
_atom_site_fract_z
In1 0.237 0.128 0.264
In2 0.237 0.372 0.764
In3 0.763 0.628 0.236
In4 0.763 0.872 0.736
Ga1 0.129 0.596 0.062
Ga2 0.129 0.904 0.562
Ga3 0.871 0.096 0.438
Ga4 0.871 0.404 0.938
Br1 0.035 0.182 0.917
Br2 0.035 0.318 0.417
Br3 0.312 0.686 0.969
Br4 0.312 0.814 0.469
Br5 0.393 0.508 0.267
Br6 0.393 0.992 0.767
Br7 0.607 0.008 0.233
Br8 0.607 0.492 0.733
Br9 0.688 0.186 0.531
Br10 0.688 0.314 0.031
Br11 0.965 0.682 0.583
Br12 0.965 0.818 0.083
```



This entry pairs a crystal structure of Ho3MgZn3 with its simulated PXRD pattern. Radiation: CuKα. Structure: a crystal structure in Alexandria, relaxed with GGA-PBE.
No peak broadening, texture or thermal motion is included.

Largest 10 diffraction maxima, sorted by position, 10 to 90 degrees two-theta:
- 2θ 17.93, intensity 40
- 2θ 25.71, intensity 33
- 2θ 31.32, intensity 73
- 2θ 31.53, intensity 38
- 2θ 32.13, intensity 32
- 2θ 36.32, intensity 83
- 2θ 37.03, intensity 100
- 2θ 41.44, intensity 36
- 2θ 56.26, intensity 37
- 2θ 68.38, intensity 23

Structure:
```
data_Ho3MgZn3
_cell_length_a 6.040
_cell_length_b 6.040
_cell_length_c 6.040
_cell_angle_alpha 109.96
_cell_angle_beta 109.96
_cell_angle_gamma 109.96
_space_group_name_H-M_alt 'P 1'
_space_group_IT_number 1
_space_group_name_Hall 'P 1'
loop_
_atom_site_label
_atom_site_fract_x
_atom_site_fract_y
_atom_site_fract_z
Ho1 0.058 0.471 0.471
Ho2 0.471 0.058 0.471
Ho3 0.471 0.471 0.058
Mg1 0.817 0.817 0.817
Zn1 0.503 0.985 0.985
Zn2 0.985 0.503 0.985
Zn3 0.985 0.985 0.503
```